# Li2VFeP2H2O10
Computed XRD peak list, a wavelength of 1.5418 Å. Input: a cell relaxed with GGA+U.

Structure:
```
data_Li2VFeP2H2O10
_symmetry_space_group_name_H-M 'P -1'
_symmetry_Int_Tables_number 2
_cell_length_a 5.1745
_cell_length_b 7.3930
_cell_length_c 10.6845
_cell_angle_alpha 104.53
_cell_angle_beta 96.91
_cell_angle_gamma 108.71
loop_
_symmetry_equiv_pos_as_xyz
'x,y,z'
'-x,-y,-z'
loop_
_atom_site_label
_atom_site_type_symbol
_atom_site_fract_x
_atom_site_fract_y
_atom_site_fract_z
Li1 Li 0.0478 0.1248 0.3012
Li2 Li 0.4522 0.3749 0.1981
V1 V 0.0000 0.5000 0.0000
V2 V 0.5000 0.5000 0.5000
Fe1 Fe 0.0000 0.0000 0.0000
Fe2 Fe 0.5000 0.0000 0.5000
P1 P 0.0032 0.4485 0.6805
P2 P 0.4940 0.0500 0.8194
H1 H 0.1722 0.1887 0.5319
H2 H 0.3320 0.3086 0.9706
O1 O 0.1271 0.7779 0.3978
O2 O 0.1324 0.4860 0.8278
O3 O 0.1854 0.2987 0.0234
O4 O 0.2175 0.4492 0.3302
O5 O 0.2426 0.9454 0.8753
O6 O 0.2534 0.5549 0.6264
O7 O 0.2856 0.0516 0.1702
O8 O 0.3120 0.1990 0.4755
O9 O 0.3646 0.0102 0.6717
O10 O 0.3788 0.7238 0.1036
```

Peak list (8 most intense, 2θ = 10–80°, in order of rising 2θ)
h k l  d_spacing  two_theta  I/Imax
0 0 2  5.046  17.58  37
1 -1 0  4.804  18.47  36
1 0 -1  4.742  18.71  47
1 -1 2  3.482  25.58  32
1 -2 1  3.357  26.55  99
0 2 0  3.331  26.76  100
1 0 -3  3.088  28.91  86
1 0 3  2.505  35.84  37